This entry pairs a crystal structure of Ba5La3I19 with its simulated powder diffraction line list. Radiation: Cu Kα X-rays. Structure: a structure optimized by DFT (PBE).
No peak broadening, texture or thermal motion is included.

Peak list (8 most intense, 2θ = 10–90°, in order of rising 2θ)
2theta, d (Å), intensity, h k l
15.32, 5.782, 76.8, 2 0 0
24.72, 3.602, 68.2, 0 3 3
26.46, 3.368, 67.9, 3 -2 1
29.34, 3.044, 72.0, 2 -4 1
29.47, 3.031, 63.4, 0 1 5
29.96, 2.983, 100.0, 4 0 1
31.03, 2.882, 63.0, 4 2 2
32.17, 2.783, 62.7, -1 4 3

Cell and atoms:
a b c (Å): 12.0498 15.3183 16.0144
angles (deg): 88.67 75.13 83.13
Space group P-1 (No. 2)
Inequivalent atoms, fractional coordinates:
Ba  0.1005  0.1404  0.1544 x2
Ba  0.1752  0.1903  0.7622 x2
Ba  0.2856  0.6529  0.2888 x2
Ba  0.3470  0.4134  0.9305 x2
Ba  0.3614  0.2945  0.3366 x2
La  0.1671  0.5325  0.6779 x2
La  0.2546  0.9948  0.4876 x2
La  0.3338  0.8240  0.0109 x2
I  0.0000  0.0000  0.5000 x1
I  0.0016  0.6256  0.2980 x2
I  0.0568  0.3160  0.3124 x2
I  0.1074  0.5403  0.8773 x2
I  0.1125  0.8684  0.1743 x2
I  0.1353  0.2732  0.9671 x2
I  0.1777  0.8041  0.8885 x2
I  0.1824  0.9705  0.6927 x2
I  0.2318  0.2014  0.5353 x2
I  0.2479  0.4919  0.4672 x2
I  0.3003  0.0726  0.2958 x2
I  0.3010  0.0270  0.9799 x2
I  0.3215  0.7982  0.4356 x2
I  0.3227  0.6179  0.0492 x2
I  0.3502  0.3680  0.7063 x2
I  0.3511  0.6628  0.6505 x2
I  0.4019  0.2389  0.1052 x2
I  0.4483  0.4645  0.2033 x2
I  0.4727  0.7952  0.1610 x2
I  0.5000  0.0000  0.5000 x1